Diffraction record for AsAu15. The X-ray powder pattern is calculated, not measured: it uses a crystal structure in OQMD, relaxed with PBE and Cu Kα (weighted mean of Kα1 and Kα2).

Largest 10 diffraction maxima, low angle first, 2θ = 10–90°:
hkl 1 10 1, d 2.398, 37.51°, I 1000; hkl 1 11 1, d 2.325, 38.72°, I 180; hkl 0 20 0, d 2.183, 41.35°, I 174; hkl 2 0 0, d 2.029, 44.67°, I 346; hkl 2 20 0, d 1.486, 62.49°, I 204; hkl 2 21 0, d 1.452, 64.13°, I 74; hkl 1 30 1, d 1.298, 72.87°, I 107; hkl 1 31 1, d 1.264, 75.13°, I 72; hkl 3 10 1, d 1.232, 77.48°, I 128; hkl 1 10 3, d 1.230, 77.61°, I 126

```
data_AsAu15
_chemical_formula_sum 'As2 Au30'
_cell_length_a 4.062
_cell_length_b 43.667
_cell_length_c 4.053
_cell_angle_alpha 90.00
_cell_angle_beta 90.10
_cell_angle_gamma 90.00
_space_group_name_H-M_alt 'P 1 2/c 1'
_space_group_IT_number 13
loop_
_space_group_symop_operation_xyz
'x,y,z'
'-x,-y,-z'
'-x,y,-z+1/2'
'x,-y,z+1/2'
loop_
_atom_site_label
_atom_site_type_symbol
_atom_site_fract_x
_atom_site_fract_y
_atom_site_fract_z
As1 As 0.000 0.130 0.250
Au1 Au 0.000 0.179 0.750
Au2 Au 0.000 0.228 0.250
Au3 Au 0.000 0.279 0.750
Au4 Au 0.000 0.328 0.250
Au5 Au 0.000 0.377 0.750
Au6 Au 0.000 0.426 0.250
Au7 Au 0.000 0.475 0.750
Au8 Au 0.500 0.129 0.750
Au9 Au 0.500 0.179 0.250
Au10 Au 0.500 0.230 0.750
Au11 Au 0.500 0.279 0.250
Au12 Au 0.500 0.328 0.750
Au13 Au 0.500 0.377 0.250
Au14 Au 0.500 0.426 0.750
Au15 Au 0.500 0.475 0.250
```

Diffraction record for As2Au9. The X-ray powder pattern is calculated, not measured: it uses a crystal structure in OQMD, relaxed with PBE and Cu Kα (weighted mean of Kα1 and Kα2).

Largest 10 diffraction maxima, low angle first, 2θ = 10–90°:
hkl 1 0 4, d 2.437, 36.88°, I 416; hkl 0 0 14, d 2.426, 37.06°, I 324; hkl 1 0 5, d 2.383, 37.76°, I 1000; hkl 0 0 15, d 2.264, 39.82°, I 139; hkl 0 1 9, d 2.110, 42.87°, I 474; hkl 0 1 10, d 2.036, 44.49°, I 492; hkl 1 1 0, d 1.469, 63.33°, I 316; hkl 1 0 19, d 1.463, 63.62°, I 253; hkl 1 1 14, d 1.257, 75.69°, I 251; hkl 0 1 24, d 1.237, 77.13°, I 134

```
data_As2Au9
_chemical_formula_sum 'As2 Au9'
_cell_length_a 2.9379
_cell_length_b 2.9379
_cell_length_c 33.9605
_cell_angle_alpha 90.00
_cell_angle_beta 90.00
_cell_angle_gamma 120.00
_space_group_name_H-M_alt 'P -3 m 1'
_space_group_IT_number 164
_space_group_name_Hall '-P 3 2"'
loop_
_atom_site_label
_atom_site_type_symbol
_atom_site_fract_x
_atom_site_fract_y
_atom_site_fract_z
As1 As 0.3333 0.6667 0.3464
Au1 Au 0.0000 0.0000 0.0000
Au2 Au 0.0000 0.0000 0.2099
Au3 Au 0.3333 0.6667 0.1396
Au4 Au 0.3333 0.6667 0.7193
Au5 Au 0.3333 0.6667 0.9303
```

What is the formula in the second record?
As2Au9